Theoretical powder XRD pattern of Ba2Mn3O7 for a wavelength of 1.5418 Å, from a cell relaxed with GGA+U.
No peak broadening, texture or thermal motion is included.

Peak list (8 most intense, 5° ≤ 2θ ≤ 70°, in order of falling intensity)
2theta  I_rel  (hkl)
33.30  1000  1 0 1
30.89  792  0 3 1
30.75  663  1 3 0
13.18  641  0 2 0
6.58  538  0 1 0
26.99  517  0 2 1
47.83  401  1 5 1
26.83  382  1 2 0

Atomic structure:
```
Ba2Mn3O7
1.0
3.823 0.000 0.000
0.000 13.432 0.000
0.000 0.000 3.794
Ba Mn O
2 3 7
Direct
0.000 0.193 0.000
0.000 0.807 0.000
0.500 0.000 0.503
0.500 0.364 0.500
0.500 0.636 0.500
0.000 0.000 0.536
0.000 0.347 0.501
0.000 0.653 0.501
0.500 0.141 0.496
0.500 0.344 0.001
0.500 0.656 0.001
0.500 0.859 0.496
```

***

Theoretical powder XRD pattern of PrZnFe2O6 for a wavelength of 1.5418 Å, from a cell relaxed with GGA+U.
No peak broadening, texture or thermal motion is included.

Peak list (8 most intense, 5° ≤ 2θ ≤ 70°, in order of falling intensity)
2theta  I_rel  (hkl)
32.96  1000  2 1 1
58.46  262  4 2 0
47.61  251  0 2 2
32.68  232  0 2 0
59.75  222  2 1 3
33.66  212  0 0 2
47.00  143  4 0 0
69.14  123  4 2 2

Atomic structure:
```
PrZnFe2O6
1.0
7.733 0.000 0.000
0.000 5.481 0.000
0.000 0.000 5.326
Pr Zn Fe O
2 2 4 12
Direct
0.000 0.209 0.000
0.500 0.791 0.500
0.000 0.722 0.475
0.500 0.278 0.975
0.250 0.256 0.489
0.250 0.744 0.989
0.750 0.256 0.489
0.750 0.744 0.989
0.000 0.289 0.568
0.000 0.773 0.857
0.191 0.946 0.296
0.197 0.472 0.209
0.303 0.528 0.709
0.309 0.054 0.796
0.500 0.227 0.357
0.500 0.711 0.068
0.691 0.054 0.796
0.697 0.528 0.709
0.803 0.472 0.209
0.809 0.946 0.296
```

***

Theoretical powder XRD pattern of Li8Mn5Fe3B8O24 for a wavelength of 1.5418 Å, from a cell relaxed with GGA+U.
No peak broadening, texture or thermal motion is included.

Peak list (8 most intense, 5° ≤ 2θ ≤ 70°, in order of falling intensity)
2theta  I_rel  (hkl)
33.53  1000  0 2 -2
20.45  810  1 0 -2
22.63  607  1 1 1
40.80  559  2 0 4
22.16  335  0 0 4
34.08  333  1 1 5
34.76  300  -1 1 5
40.14  265  0 1 7

Atomic structure:
```
Li8Mn5Fe3B8O24
1.0
5.233 0.000 0.000
0.060 6.013 0.000
0.336 2.254 16.046
Li Mn Fe B O
8 5 3 8 24
Direct
0.000 0.000 0.000
0.000 0.498 0.501
0.199 0.374 0.031
0.200 0.873 0.533
0.500 0.248 0.251
0.501 0.749 0.751
0.698 0.122 0.782
0.700 0.623 0.283
0.016 0.087 0.181
0.016 0.584 0.682
0.183 0.785 0.352
0.517 0.335 0.432
0.683 0.538 0.101
0.191 0.285 0.851
0.511 0.837 0.931
0.690 0.034 0.601
0.019 0.275 0.343
0.021 0.773 0.845
0.181 0.098 0.690
0.181 0.596 0.190
0.518 0.026 0.092
0.520 0.524 0.594
0.680 0.349 0.938
0.682 0.846 0.441
0.027 0.731 0.235
0.032 0.229 0.738
0.059 0.982 0.633
0.067 0.476 0.133
0.133 0.395 0.400
0.142 0.891 0.901
0.170 0.639 0.798
0.172 0.141 0.298
0.259 0.045 0.079
0.261 0.545 0.579
0.439 0.577 0.204
0.440 0.076 0.701
0.529 0.483 0.985
0.529 0.980 0.488
0.559 0.230 0.882
0.567 0.728 0.384
0.633 0.144 0.149
0.634 0.645 0.650
0.670 0.892 0.045
0.672 0.388 0.549
0.760 0.294 0.329
0.762 0.796 0.832
0.938 0.326 0.951
0.940 0.827 0.455
```